Li4Tl2Pd: simulated powder diffractogram (Cu Kα, 1.54184 Å), based on a DFT-relaxed cell (PBE, Alexandria).
No peak broadening, texture or thermal motion is included.

Largest 10 diffraction maxima, sorted by position, 2θ from 5° to 70°:
19.45 deg, d 4.563, I 85
20.82 deg, d 4.267, I 17
32.38 deg, d 2.765, I 100
32.75 deg, d 2.735, I 24
38.38 deg, d 2.346, I 36
39.50 deg, d 2.281, I 17
43.09 deg, d 2.099, I 46
58.23 deg, d 1.585, I 19
59.87 deg, d 1.545, I 19
65.65 deg, d 1.422, I 13

```
Li4Tl2Pd
1.0
5.1330 -2.7345 0.0000
5.1330 2.7345 0.0000
0.0000 0.0000 9.1256
Li Tl Pd
8 4 2
Cartesian
2.5665 1.3553 6.8442
5.1330 1.3973 6.8483
5.1330 1.3373 2.2855
2.5665 -1.3553 2.2814
7.6994 1.3553 6.8442
5.1330 -1.3373 6.8401
5.1330 -1.3973 2.2773
7.6994 -1.3553 2.2814
1.5683 0.0000 0.0000
3.5646 0.0000 4.5628
6.7013 0.0000 4.5628
8.6976 0.0000 0.0000
0.0000 0.0000 4.5628
5.1330 0.0000 0.0000
```